For PmCoSbRu, a structure optimized by DFT (GGA-PBE) gives the calculated PXRD pattern in this record (Cu Kα).
Neutral-atom scattering factors, no anomalous dispersion.

Main lines, sorted by position (2θ = 10–80°):
2theta	I/Imax
23.23	3.1
26.89	7.0
38.39	100.0
45.36	1.6
47.50	2.1
55.42	16.9
60.90	0.7
62.65	2.9
69.44	33.7
74.33	0.5

Structure:
Cell: 4.689 4.689 4.689 Å, 60.00 60.00 60.00°
Fractional coordinates of all 4 atoms:
1 Pm 0.000 0.000 0.000
2 Co 0.250 0.250 0.250
3 Sb 0.500 0.500 0.500
4 Ru 0.750 0.750 0.750

***

For Li2DyMg3, a structure optimized by DFT (GGA-PBE) gives the calculated PXRD pattern in this record (Cu Kα).
Neutral-atom scattering factors, no anomalous dispersion.

Main lines, sorted by position (2θ = 10–80°):
2theta	I/Imax
15.71	61.1
26.80	97.6
30.16	79.9
35.12	100.0
36.50	49.3
37.39	31.2
39.96	35.3
49.12	26.3
55.22	26.3
64.81	33.1

Structure:
Cell: 3.482 3.482 11.283 Å, 90.00 90.00 90.00°
Fractional coordinates of all 6 atoms:
1 Li 0.000 0.000 0.153
2 Li 0.000 0.000 0.847
3 Dy 0.000 0.000 0.500
4 Mg 0.500 0.500 0.000
5 Mg 0.500 0.500 0.299
6 Mg 0.500 0.500 0.701

***

For PuPd6Au3, a structure optimized by DFT (GGA-PBE) gives the calculated PXRD pattern in this record (Cu Kα).
Neutral-atom scattering factors, no anomalous dispersion.

Main lines, sorted by position (2θ = 10–80°):
2theta	I/Imax
30.48	7.5
31.58	25.4
35.46	16.5
38.67	41.5
39.79	100.0
40.01	8.8
41.02	28.8
53.47	10.0
70.73	18.1
79.91	6.8

Structure:
Cell: 5.062 15.098 4.657 Å, 90.00 90.00 90.00°
Fractional coordinates of all 20 atoms:
1 Pu 0.000 0.000 0.000
2 Pu 0.500 0.500 0.000
3 Pd 0.031 0.396 0.000
4 Pd 0.056 0.208 0.000
5 Pd 0.127 0.693 0.500
6 Pd 0.373 0.193 0.500
7 Pd 0.444 0.708 0.000
8 Pd 0.469 0.896 0.000
9 Pd 0.531 0.104 0.000
10 Pd 0.556 0.292 0.000
11 Pd 0.627 0.807 0.500
12 Pd 0.873 0.307 0.500
13 Pd 0.944 0.792 0.000
14 Pd 0.969 0.604 0.000
15 Au 0.000 0.500 0.500
16 Au 0.120 0.874 0.500
17 Au 0.380 0.374 0.500
18 Au 0.500 0.000 0.500
19 Au 0.620 0.626 0.500
20 Au 0.880 0.126 0.500

***

For Ca2SmCd6, a structure optimized by DFT (GGA-PBE) gives the calculated PXRD pattern in this record (Cu Kα).
Neutral-atom scattering factors, no anomalous dispersion.

Main lines, sorted by position (2θ = 10–80°):
2theta	I/Imax
11.72	17.2
25.14	20.0
32.57	100.0
35.67	99.2
44.14	26.2
49.07	30.5
51.61	11.1
62.13	29.2
64.07	16.8
64.32	33.3

Structure:
Cell: 8.720 8.720 3.542 Å, 90.00 90.00 120.00°
Fractional coordinates of all 9 atoms:
1 Ca 0.333 0.667 0.000
2 Ca 0.667 0.333 0.000
3 Sm 0.000 0.000 0.000
4 Cd 0.000 0.334 0.500
5 Cd 0.000 0.666 0.500
6 Cd 0.334 0.000 0.500
7 Cd 0.334 0.334 0.500
8 Cd 0.666 0.000 0.500
9 Cd 0.666 0.666 0.500

***

For Pm4GaCoCl2, a structure optimized by DFT (GGA-PBE) gives the calculated PXRD pattern in this record (Cu Kα).
Neutral-atom scattering factors, no anomalous dispersion.

Main lines, sorted by position (2θ = 10–80°):
2theta	I/Imax
12.12	27.6
24.38	15.8
25.38	16.0
26.90	27.8
29.09	45.1
30.45	100.0
40.99	18.9
41.99	27.6
43.23	31.7
46.11	16.4

Structure:
Cell: 7.412 3.937 7.710 Å, 90.00 108.71 90.00°
Fractional coordinates of all 8 atoms:
1 Pm 0.221 0.000 0.285
2 Pm 0.233 0.500 0.709
3 Pm 0.767 0.500 0.291
4 Pm 0.779 0.000 0.715
5 Ga 0.500 0.500 0.500
6 Co 0.000 0.000 0.500
7 Cl 0.000 0.500 0.000
8 Cl 0.500 0.000 0.000

***

For Na2LiAl3Ge4, a structure optimized by DFT (GGA-PBE) gives the calculated PXRD pattern in this record (Cu Kα).
Neutral-atom scattering factors, no anomalous dispersion.

Main lines, sorted by position (2θ = 10–80°):
2theta	I/Imax
22.04	51.6
24.54	35.4
30.24	69.4
32.15	45.6
33.51	100.0
41.59	78.3
44.48	75.9
46.67	30.7
60.26	31.7
77.92	29.0

Structure:
Cell: 4.343 4.343 10.885 Å, 90.00 90.00 90.00°
Fractional coordinates of all 10 atoms:
1 Na 0.000 0.500 0.238
2 Na 0.500 0.000 0.762
3 Li 0.500 0.500 0.000
4 Al 0.000 0.000 0.000
5 Al 0.000 0.500 0.638
6 Al 0.500 0.000 0.362
7 Ge 0.000 0.000 0.500
8 Ge 0.000 0.500 0.866
9 Ge 0.500 0.000 0.134
10 Ge 0.500 0.500 0.500

***

For AcZnCd2Ag2, a structure optimized by DFT (GGA-PBE) gives the calculated PXRD pattern in this record (Cu Kα).
Neutral-atom scattering factors, no anomalous dispersion.

Main lines, sorted by position (2θ = 10–80°):
2theta	I/Imax
23.53	36.0
28.22	56.3
28.59	44.6
30.99	48.7
33.52	100.0
44.62	26.9
46.30	63.4
48.14	35.6
58.36	31.2
74.76	22.8

Structure:
Cell: 6.899 6.899 6.899 Å, 134.40 134.40 66.46°
Fractional coordinates of all 6 atoms:
1 Ac 0.000 0.000 0.000
2 Zn 0.500 0.500 0.000
3 Cd 0.250 0.750 0.500
4 Cd 0.750 0.250 0.500
5 Ag 0.285 0.285 0.000
6 Ag 0.715 0.715 0.000

***

For NaPd6Pb12, a structure optimized by DFT (GGA-PBE) gives the calculated PXRD pattern in this record (Cu Kα).
Neutral-atom scattering factors, no anomalous dispersion.

Main lines, sorted by position (2θ = 10–80°):
2theta	I/Imax
11.91	35.4
13.13	23.9
19.95	24.5
29.08	100.0
30.86	52.6
34.74	67.6
35.20	27.1
36.27	82.0
40.54	25.4
43.03	51.7

Structure:
Cell: 8.424 8.424 8.424 Å, 106.40 106.40 106.40°
Fractional coordinates of all 19 atoms:
1 Na 0.000 0.000 0.000
2 Pd 0.284 0.284 0.701
3 Pd 0.284 0.701 0.284
4 Pd 0.299 0.716 0.716
5 Pd 0.701 0.284 0.284
6 Pd 0.716 0.299 0.716
7 Pd 0.716 0.716 0.299
8 Pb 0.124 0.500 0.876
9 Pb 0.124 0.876 0.500
10 Pb 0.145 0.402 0.402
11 Pb 0.402 0.145 0.402
12 Pb 0.402 0.402 0.145
13 Pb 0.500 0.124 0.876
14 Pb 0.500 0.876 0.124
15 Pb 0.598 0.598 0.855
16 Pb 0.598 0.855 0.598
17 Pb 0.855 0.598 0.598
18 Pb 0.876 0.124 0.500
19 Pb 0.876 0.500 0.124